For BiTeAuS, a PBE-relaxed structure gives the computed powder XRD pattern in this record (Cu Kα (weighted mean of Kα1 and Kα2)).
Neutral-atom scattering factors, no anomalous dispersion.

Principal peaks in the range 2θ from 10° to 90°, sorted by position:
d/Å, Rel. int.
6.885, 63
4.233, 68
3.828, 100
3.442, 83
3.299, 83
2.604, 65
2.358, 58
2.190, 49
2.146, 37
2.004, 51

Structure:
a = 8.4902 Å, b = 4.2919 Å, c = 6.9037 Å
α = 90.00°, β = 94.27°, γ = 90.00°
Space group Cm (No. 8)
Unique sites:
Bi  0.0000  0.0000  0.0000 [2 per cell]
Te  0.3903  0.0000  0.6198 [2 per cell]
Au  0.0831  0.0000  0.5985 [2 per cell]
S  0.1837  0.5000  0.1308 [2 per cell]